Record 1
Structure and computed powder diffraction line list of Pr2NdTmSe4 (a structure optimized by DFT (GGA-PBE); Cu Kα).
Kinematic intensities with the Lorentz-polarization factor, no thermal factor.

Structure:
a = 7.2625 Å, b = 4.1222 Å, c = 7.3724 Å
α = 90.00°, β = 108.55°, γ = 90.00°
Space group P2/m (No. 10)
Asymmetric unit:
1 Pr 0.0000 0.0000 0.0000 (multiplicity 1)
2 Pr 0.5000 0.5000 0.0000 (multiplicity 1)
3 Nd 0.0000 0.5000 0.5000 (multiplicity 1)
4 Tm 0.5000 0.0000 0.5000 (multiplicity 1)
5 Se 0.2562 0.0000 0.7395 (multiplicity 2)
6 Se 0.2654 0.5000 0.2673 (multiplicity 2)

Principal peaks in the range 2θ from 10° to 90°, sorted by position:
| two_theta | d (Å) | intensity | hkl |
| --- | --- | --- | --- |
| 26.32 | 3.387 | 9 | 1 1 -1 |
| 30.11 | 2.968 | 100 | 1 1 1 |
| 42.31 | 2.136 | 13 | 2 0 2 |
| 42.85 | 2.110 | 25 | 1 1 -3 |
| 43.35 | 2.087 | 24 | 3 1 -1 |
| 43.93 | 2.061 | 12 | 0 2 0 |
| 54.17 | 1.693 | 13 | 2 2 -2 |
| 62.60 | 1.484 | 12 | 2 2 2 |
| 70.65 | 1.333 | 11 | 0 2 4 |
| 71.37 | 1.322 | 11 | 4 2 0 |

Record 2
Structure and computed powder diffraction line list of Pm5Y3 (a structure optimized by DFT (GGA-PBE); Cu Kα).
Kinematic intensities with the Lorentz-polarization factor, no thermal factor.

Structure:
a = 5.1022 Å, b = 5.1321 Å, c = 10.2509 Å
α = 90.00°, β = 90.00°, γ = 90.00°
Space group Pmmm (No. 47)
Asymmetric unit:
1 Pm 0.0000 0.0000 0.0000 (multiplicity 1)
2 Pm 0.0000 0.0000 0.5000 (multiplicity 1)
3 Pm 0.0000 0.5000 0.2493 (multiplicity 2)
4 Pm 0.5000 0.5000 0.5000 (multiplicity 1)
5 Y 0.5000 0.0000 0.2491 (multiplicity 2)
6 Y 0.5000 0.5000 0.0000 (multiplicity 1)

Principal peaks in the range 2θ from 10° to 90°, sorted by position:
| two_theta | d (Å) | intensity | hkl |
| --- | --- | --- | --- |
| 30.24 | 2.956 | 100 | 1 1 2 |
| 34.99 | 2.564 | 34 | 0 2 0 |
| 35.18 | 2.551 | 17 | 2 0 0 |
| 50.32 | 1.813 | 12 | 0 2 4 |
| 50.46 | 1.809 | 24 | 2 2 0 |
| 59.84 | 1.546 | 28 | 1 3 2 |
| 60.09 | 1.540 | 14 | 3 1 2 |
| 62.88 | 1.478 | 12 | 2 2 4 |
| 82.11 | 1.174 | 11 | 3 3 2 |
| 84.49 | 1.147 | 8 | 2 4 0 |

Record 3
Structure and computed powder diffraction line list of Cs2ZnBiI6 (a structure optimized by DFT (GGA-PBE); Cu Kα).
Kinematic intensities with the Lorentz-polarization factor, no thermal factor.

Structure:
a = 8.6567 Å, b = 8.6567 Å, c = 12.0552 Å
α = 90.00°, β = 90.00°, γ = 90.00°
Space group I4/mmm (No. 139)
Asymmetric unit:
1 Cs 0.0000 0.5000 0.2500 (multiplicity 4)
2 Zn 0.0000 0.0000 0.0000 (multiplicity 2)
3 Bi 0.0000 0.0000 0.5000 (multiplicity 2)
4 I 0.0000 0.0000 0.2392 (multiplicity 4)
5 I 0.2449 0.2449 0.0000 (multiplicity 8)

Principal peaks in the range 2θ from 10° to 90°, sorted by position:
| two_theta | d (Å) | intensity | hkl |
| --- | --- | --- | --- |
| 14.47 | 6.121 | 23 | 1 1 0 |
| 20.68 | 4.295 | 23 | 1 1 2 |
| 25.33 | 3.516 | 94 | 2 0 2 |
| 29.18 | 3.061 | 100 | 2 2 0 |
| 29.64 | 3.014 | 47 | 0 0 4 |
| 41.74 | 2.164 | 37 | 4 0 0 |
| 42.08 | 2.147 | 72 | 2 2 4 |
| 49.45 | 1.843 | 28 | 4 2 2 |
| 52.02 | 1.758 | 39 | 4 0 4 |
| 76.43 | 1.246 | 25 | 6 2 4 |

Record 4
Structure and computed powder diffraction line list of PrU2S4 (a structure optimized by DFT (GGA-PBE); Cu Kα).
Kinematic intensities with the Lorentz-polarization factor, no thermal factor.

Structure:
a = 3.8440 Å, b = 13.0211 Å, c = 13.2409 Å
α = 90.00°, β = 90.00°, γ = 90.00°
Space group Cmcm (No. 63)
Asymmetric unit:
1 Pr 0.0000 0.1164 0.2500 (multiplicity 4)
2 U 0.0000 0.3656 0.0635 (multiplicity 8)
3 S 0.0000 0.0000 0.0000 (multiplicity 4)
4 S 0.0000 0.2733 0.6238 (multiplicity 8)
5 S 0.0000 0.4522 0.2500 (multiplicity 4)

Principal peaks in the range 2θ from 10° to 90°, sorted by position:
| two_theta | d (Å) | intensity | hkl |
| --- | --- | --- | --- |
| 24.36 | 3.653 | 100 | 0 2 3 |
| 25.07 | 3.552 | 24 | 1 1 1 |
| 27.40 | 3.255 | 31 | 0 4 0 |
| 27.70 | 3.221 | 33 | 1 1 2 |
| 31.08 | 2.878 | 22 | 1 3 0 |
| 31.82 | 2.812 | 30 | 1 3 1 |
| 33.97 | 2.639 | 49 | 1 3 2 |
| 42.01 | 2.151 | 37 | 1 1 5 |
| 46.63 | 1.948 | 38 | 0 6 3 |
| 53.90 | 1.701 | 24 | 2 2 3 |

Record 5
Structure and computed powder diffraction line list of TmB2C2 (a structure optimized by DFT (GGA-PBE); Cu Kα).
Kinematic intensities with the Lorentz-polarization factor, no thermal factor.

Structure:
a = 3.7823 Å, b = 3.7823 Å, c = 7.0423 Å
α = 90.00°, β = 90.00°, γ = 90.00°
Space group P4_2/mmc (No. 131)
Asymmetric unit:
1 Tm 0.0000 0.0000 0.2500 (multiplicity 2)
2 B 0.2149 0.5000 0.0000 (multiplicity 4)
3 C 0.1878 0.5000 0.5000 (multiplicity 4)

Principal peaks in the range 2θ from 10° to 90°, sorted by position:
| two_theta | d (Å) | intensity | hkl |
| --- | --- | --- | --- |
| 23.52 | 3.782 | 97 | 1 0 0 |
| 25.29 | 3.521 | 27 | 0 0 2 |
| 33.51 | 2.674 | 41 | 1 1 0 |
| 34.81 | 2.577 | 100 | 1 0 2 |
| 42.44 | 2.130 | 56 | 1 1 2 |
| 48.11 | 1.891 | 18 | 2 0 0 |
| 54.23 | 1.691 | 30 | 2 1 0 |
| 55.13 | 1.666 | 23 | 2 0 2 |
| 60.75 | 1.525 | 29 | 2 1 2 |
| 78.40 | 1.220 | 20 | 2 1 4 |

Record 6
Structure and computed powder diffraction line list of Zr2UOsC4 (a structure optimized by DFT (GGA-PBE); Cu Kα).
Kinematic intensities with the Lorentz-polarization factor, no thermal factor.

Structure:
a = 3.3531 Å, b = 11.4909 Å, c = 11.2863 Å
α = 90.00°, β = 90.00°, γ = 90.00°
Space group Cmcm (No. 63)
Asymmetric unit:
1 Zr 0.0000 0.1312 0.0413 (multiplicity 8)
2 U 0.0000 0.3867 0.2500 (multiplicity 4)
3 Os 0.0000 0.3557 0.7500 (multiplicity 4)
4 C 0.0000 0.0467 0.2500 (multiplicity 4)
5 C 0.0000 0.2316 0.6284 (multiplicity 8)
6 C 0.0000 0.5000 0.0000 (multiplicity 4)

Principal peaks in the range 2θ from 10° to 90°, sorted by position:
| two_theta | d (Å) | intensity | hkl |
| --- | --- | --- | --- |
| 15.70 | 5.643 | 58 | 0 0 2 |
| 31.13 | 2.873 | 54 | 0 4 0 |
| 31.71 | 2.822 | 47 | 0 0 4 |
| 32.01 | 2.796 | 100 | 1 1 2 |
| 39.11 | 2.303 | 78 | 1 3 2 |
| 42.61 | 2.122 | 17 | 1 1 4 |
| 45.04 | 2.013 | 32 | 0 4 4 |
| 48.39 | 1.881 | 21 | 0 0 6 |
| 50.81 | 1.797 | 23 | 1 5 2 |
| 65.45 | 1.426 | 18 | 1 7 2 |

Record 7
Structure and computed powder diffraction line list of Ba3SrYb2Re2O12 (a structure optimized by DFT (GGA-PBE); Cu Kα).
Kinematic intensities with the Lorentz-polarization factor, no thermal factor.

Structure:
a = 5.9587 Å, b = 5.9587 Å, c = 29.1554 Å
α = 90.00°, β = 90.00°, γ = 120.00°
Space group R3m (No. 160, hexagonal axes)
Asymmetric unit:
1 Ba 0.0000 0.0000 0.0000 (multiplicity 3)
2 Ba 0.0000 0.0000 0.2494 (multiplicity 3)
3 Ba 0.0000 0.0000 0.4989 (multiplicity 3)
4 Sr 0.0000 0.0000 0.7500 (multiplicity 3)
5 Yb 0.0000 0.0000 0.1242 (multiplicity 3)
6 Yb 0.0000 0.0000 0.6248 (multiplicity 3)
7 Re 0.0000 0.0000 0.3749 (multiplicity 3)
8 Re 0.0000 0.0000 0.8739 (multiplicity 3)
9 O 0.0220 0.5110 0.0034 (multiplicity 9)
10 O 0.0266 0.5133 0.5014 (multiplicity 9)
11 O 0.1788 0.3575 0.0801 (multiplicity 9)
12 O 0.1788 0.3575 0.5794 (multiplicity 9)

Principal peaks in the range 2θ from 10° to 90°, sorted by position:
| two_theta | d (Å) | intensity | hkl |
| --- | --- | --- | --- |
| 21.09 | 4.212 | 8 | 1 0 4 |
| 30.01 | 2.978 | 100 | 1 1 0 |
| 42.95 | 2.106 | 28 | 2 0 8 |
| 48.32 | 1.884 | 3 | 2 1 4 |
| 53.28 | 1.719 | 41 | 3 0 0 |
| 62.36 | 1.489 | 18 | 2 2 0 |
| 70.74 | 1.332 | 18 | 3 1 8 |
| 78.68 | 1.216 | 4 | 0 4 8 |
| 86.43 | 1.126 | 17 | 4 1 0 |
| 86.52 | 1.125 | 5 | 1 1 24 |

Record 8
Structure and computed powder diffraction line list of In4H2Br5 (a structure optimized by DFT (GGA-PBE); Cu Kα).
Kinematic intensities with the Lorentz-polarization factor, no thermal factor.

Structure:
a = 4.1954 Å, b = 8.0333 Å, c = 9.9819 Å
α = 75.21°, β = 78.09°, γ = 89.94°
Space group P-1 (No. 2)
Asymmetric unit:
1 In 0.0064 0.2890 0.4829 (multiplicity 2)
2 In 0.3355 0.4147 0.8331 (multiplicity 2)
3 H 0.4265 0.5215 0.6429 (multiplicity 2)
4 Br 0.1585 0.8193 0.1807 (multiplicity 2)
5 Br 0.1855 0.3237 0.1296 (multiplicity 2)
6 Br 0.5000 0.0000 0.5000 (multiplicity 1)

Principal peaks in the range 2θ from 10° to 90°, sorted by position:
| two_theta | d (Å) | intensity | hkl |
| --- | --- | --- | --- |
| 11.41 | 7.756 | 24 | 0 1 0 |
| 16.58 | 5.345 | 20 | 0 1 -1 |
| 26.45 | 3.370 | 28 | -1 1 1 |
| 28.40 | 3.143 | 57 | 0 0 3 |
| 30.85 | 2.899 | 100 | 1 2 1 |
| 41.45 | 2.179 | 20 | -1 2 3 |
| 41.55 | 2.173 | 20 | 1 2 4 |
| 43.12 | 2.098 | 21 | 2 0 1 |
| 43.24 | 2.092 | 16 | 1 2 -2 |
| 43.40 | 2.085 | 16 | 1 -2 3 |

Which formula does entry 5 have?
TmB2C2